(1)
For TlBi3Pb4, a PBE-relaxed structure gives the simulated X-ray diffraction stick pattern in this record (Cu Kα X-rays).

Structural model:
Cell lengths 5.6100, 6.8405, 6.8405 Å; angles 80.85, 90.00, 90.00 degrees
Fractional coordinates of all 8 atoms:
1 Tl 0.0000 0.0000 0.0000
2 Bi 0.5000 0.1978 0.1978
3 Bi 0.5000 0.2708 0.7109
4 Bi 0.5000 0.7109 0.2708
5 Pb 0.0000 0.0957 0.4967
6 Pb 0.0000 0.4967 0.0957
7 Pb 0.0000 0.5762 0.5762
8 Pb 0.5000 0.7663 0.7663

Top 8 peaks for 2θ from 15° to 90°, in order of rising 2θ:
2.893 Å, I 100; 2.803 Å, I 57; 2.604 Å, I 10; 2.362 Å, I 11; 1.636 Å, I 19; 1.617 Å, I 11; 1.520 Å, I 15; 1.456 Å, I 11


(2)
For Sr6TlZn5, a PBE-relaxed structure gives the simulated X-ray diffraction stick pattern in this record (Cu Kα X-rays).

Structural model:
Cell lengths 9.6668, 9.6668, 5.5861 Å; angles 106.75, 106.75, 120.05 degrees
Fractional coordinates of all 12 atoms:
1 Sr 0.0781 0.4160 0.7470
2 Sr 0.2438 0.2438 0.2438
3 Sr 0.4160 0.0781 0.7470
4 Sr 0.5840 0.9219 0.2530
5 Sr 0.7562 0.7562 0.7562
6 Sr 0.9219 0.5840 0.2530
7 Tl 0.5000 0.5000 0.0000
8 Zn 0.0000 0.0000 0.5000
9 Zn 0.1658 0.8342 0.0000
10 Zn 0.3359 0.6641 0.5000
11 Zn 0.6641 0.3359 0.5000
12 Zn 0.8342 0.1658 0.0000

Top 8 peaks for 2θ from 15° to 90°, in order of rising 2θ:
4.558 Å, I 3; 2.791 Å, I 100; 1.974 Å, I 18; 1.612 Å, I 34; 1.610 Å, I 3; 1.396 Å, I 8; 1.395 Å, I 4; 1.249 Å, I 13


(3)
For PmB2, a PBE-relaxed structure gives the simulated X-ray diffraction stick pattern in this record (Cu Kα X-rays).

Structural model:
Cell lengths 5.2647, 5.2647, 5.2647 Å; angles 143.16, 78.61, 113.40 degrees
Fractional coordinates of all 6 atoms:
1 Pm 0.2514 0.0014 0.2500
2 Pm 0.7486 0.9986 0.7500
3 B 0.1653 0.6670 0.4983
4 B 0.3314 0.3330 0.9983
5 B 0.6686 0.6670 0.0017
6 B 0.8347 0.3330 0.5017

Top 8 peaks for 2θ from 15° to 90°, in order of rising 2θ:
4.074 Å, I 48; 2.886 Å, I 70; 2.355 Å, I 100; 1.666 Å, I 22; 1.664 Å, I 25; 1.543 Å, I 13; 1.359 Å, I 14; 1.229 Å, I 12


(4)
For Ho2NbB6, a PBE-relaxed structure gives the simulated X-ray diffraction stick pattern in this record (Cu Kα X-rays).

Structural model:
Cell lengths 6.1459, 6.1459, 6.1459 Å; angles 151.15, 98.37, 88.77 degrees
Fractional coordinates of all 9 atoms:
1 Ho 0.1486 0.1486 0.0000
2 Ho 0.8514 0.8514 0.0000
3 Nb 0.5000 0.0000 0.5000
4 B 0.0620 0.3073 0.7547
5 B 0.2358 0.5000 0.7358
6 B 0.4473 0.6927 0.7547
7 B 0.5527 0.3073 0.2453
8 B 0.7642 0.5000 0.2642
9 B 0.9380 0.6927 0.2453

Top 8 peaks for 2θ from 15° to 90°, in order of rising 2θ:
4.017 Å, I 100; 2.891 Å, I 44; 2.861 Å, I 33; 2.751 Å, I 92; 2.397 Å, I 29; 2.347 Å, I 73; 1.976 Å, I 37; 1.742 Å, I 40


(5)
For La2PmPr5Th, a PBE-relaxed structure gives the simulated X-ray diffraction stick pattern in this record (Cu Kα X-rays).

Structural model:
Cell lengths 10.2256, 10.2256, 10.2256 Å; angles 128.27, 128.27, 76.19 degrees
Fractional coordinates of all 18 atoms:
1 La 0.1176 0.6176 0.7352
2 La 0.3824 0.1176 0.5000
3 La 0.6176 0.8824 0.5000
4 La 0.8824 0.3824 0.2648
5 Pm 0.2500 0.7500 0.5000
6 Pm 0.7500 0.2500 0.5000
7 Pr 0.0000 0.0000 0.0000
8 Pr 0.0727 0.1398 0.5000
9 Pr 0.1398 0.6398 0.0671
10 Pr 0.3602 0.4273 0.5000
11 Pr 0.4273 0.9273 0.0671
12 Pr 0.5000 0.5000 0.0000
13 Pr 0.5727 0.0727 0.9329
14 Pr 0.6398 0.5727 0.5000
15 Pr 0.8602 0.3602 0.9329
16 Pr 0.9273 0.8602 0.5000
17 Th 0.2500 0.2500 0.0000
18 Th 0.7500 0.7500 0.0000

Top 8 peaks for 2θ from 15° to 90°, in order of rising 2θ:
3.202 Å, I 37; 3.154 Å, I 56; 2.988 Å, I 100; 2.821 Å, I 14; 2.299 Å, I 14; 2.148 Å, I 20; 1.787 Å, I 29; 1.577 Å, I 14


(6)
For Be17CuMo, a PBE-relaxed structure gives the simulated X-ray diffraction stick pattern in this record (Cu Kα X-rays).

Structural model:
Cell lengths 5.5206, 5.5206, 5.5206 Å; angles 82.22, 82.22, 82.22 degrees
Fractional coordinates of all 19 atoms:
1 Be 0.0552 0.0552 0.0552
2 Be 0.1443 0.1443 0.6612
3 Be 0.1443 0.6612 0.1443
4 Be 0.1623 0.4609 0.8472
5 Be 0.1623 0.8472 0.4609
6 Be 0.2565 0.2565 0.2565
7 Be 0.3189 0.8143 0.8143
8 Be 0.4609 0.1623 0.8472
9 Be 0.4609 0.8472 0.1623
10 Be 0.5039 0.5039 0.9923
11 Be 0.5039 0.9923 0.5039
12 Be 0.6612 0.1443 0.1443
13 Be 0.8143 0.3189 0.8143
14 Be 0.8143 0.8143 0.3189
15 Be 0.8472 0.1623 0.4609
16 Be 0.8472 0.4609 0.1623
17 Be 0.9923 0.5039 0.5039
18 Cu 0.5405 0.5405 0.5405
19 Mo 0.8233 0.8233 0.8233

Top 8 peaks for 2θ from 15° to 90°, in order of rising 2θ:
5.431 Å, I 100; 3.630 Å, I 85; 3.018 Å, I 28; 2.554 Å, I 71; 2.477 Å, I 37; 2.096 Å, I 35; 1.810 Å, I 42; 1.782 Å, I 29


(7)
For LiCuP3O9, a PBE-relaxed structure gives the simulated X-ray diffraction stick pattern in this record (Cu Kα X-rays).

Structural model:
Cell lengths 8.2627, 8.7677, 8.9153 Å; angles 90.00, 90.00, 90.00 degrees
Fractional coordinates of all 56 atoms:
1 Li 0.1205 0.0837 0.1131
2 Li 0.3795 0.9163 0.6131
3 Li 0.6205 0.4163 0.8869
4 Li 0.8795 0.5837 0.3869
5 Cu 0.0967 0.8618 0.3851
6 Cu 0.4033 0.1382 0.8851
7 Cu 0.5967 0.6382 0.6149
8 Cu 0.9033 0.3618 0.1149
9 P 0.0457 0.6820 0.0488
10 P 0.0684 0.0596 0.7345
11 P 0.2224 0.5749 0.5638
12 P 0.2776 0.4251 0.0638
13 P 0.4316 0.9404 0.2345
14 P 0.4543 0.3180 0.5488
15 P 0.5457 0.8180 0.9512
16 P 0.5684 0.4404 0.2655
17 P 0.7224 0.9251 0.4362
18 P 0.7776 0.0749 0.9362
19 P 0.9316 0.5596 0.7655
20 P 0.9543 0.1820 0.4512
21 O 0.0294 0.1969 0.6178
22 O 0.0609 0.0829 0.3513
23 O 0.0858 0.8376 0.1036
24 O 0.1106 0.5239 0.7018
25 O 0.1186 0.6392 0.4391
26 O 0.1299 0.9250 0.6493
27 O 0.1398 0.3270 0.1192
28 O 0.1663 0.1225 0.8640
29 O 0.2110 0.5877 0.0112
30 O 0.2890 0.4123 0.5112
31 O 0.3337 0.8775 0.3640
32 O 0.3602 0.6730 0.6192
33 O 0.3701 0.0750 0.1493
34 O 0.3814 0.3608 0.9391
35 O 0.3894 0.4761 0.2018
36 O 0.4142 0.1624 0.6036
37 O 0.4391 0.9171 0.8513
38 O 0.4706 0.8031 0.1178
39 O 0.5294 0.3031 0.3822
40 O 0.5609 0.4171 0.6487
41 O 0.5858 0.6624 0.8964
42 O 0.6106 0.9761 0.2982
43 O 0.6186 0.8608 0.5609
44 O 0.6299 0.5750 0.3507
45 O 0.6398 0.1730 0.8808
46 O 0.6663 0.3775 0.1360
47 O 0.7110 0.9123 0.9888
48 O 0.7890 0.0877 0.4888
49 O 0.8337 0.6225 0.6360
50 O 0.8602 0.8270 0.3808
51 O 0.8701 0.4250 0.8507
52 O 0.8814 0.1392 0.0609
53 O 0.8894 0.0239 0.7982
54 O 0.9142 0.3376 0.3964
55 O 0.9391 0.5829 0.1487
56 O 0.9706 0.6969 0.8822

Top 8 peaks for 2θ from 15° to 90°, in order of rising 2θ:
4.985 Å, I 100; 3.974 Å, I 74; 3.934 Å, I 91; 3.741 Å, I 67; 3.581 Å, I 68; 3.552 Å, I 47; 2.796 Å, I 83; 2.629 Å, I 86


(8)
For Ga2Cu2Pd, a PBE-relaxed structure gives the simulated X-ray diffraction stick pattern in this record (Cu Kα X-rays).

Structural model:
Cell lengths 4.5520, 4.5520, 6.2260 Å; angles 127.87, 127.87, 46.75 degrees
Fractional coordinates of all 5 atoms:
1 Ga 0.1960 0.1960 0.2815
2 Ga 0.8040 0.8040 0.7185
3 Cu 0.3979 0.3979 0.0931
4 Cu 0.6021 0.6021 0.9069
5 Pd 0.0000 0.0000 0.5000

Top 8 peaks for 2θ from 15° to 90°, in order of rising 2θ:
2.260 Å, I 100; 2.145 Å, I 85; 2.022 Å, I 34; 1.906 Å, I 29; 1.806 Å, I 25; 1.347 Å, I 18; 1.311 Å, I 16; 1.228 Å, I 12